The following is a computed XRD peak list of Ba4Nb3CrO12. It was derived from a crystal structure in Alexandria, relaxed with PBE+U, using CuKα.
Neutral-atom scattering factors, no anomalous dispersion.

Peak list (10 most intense, 2θ from 5° to 70°, in order of rising 2θ)
2θ 15.18, I = 1; 2θ 21.54, I = 2; 2θ 26.46, I = 1; 2θ 30.64, I = 100; 2θ 37.76, I = 9; 2θ 43.88, I = 32; 2θ 49.39, I = 1; 2θ 54.47, I = 39; 2θ 63.80, I = 19; 2θ 68.18, I = 1

abc: 7.1469 7.1469 7.1469
angles: 109.47 109.47 109.47
Fractional positions:
Ba 0.0000 0.0000 0.5000
Ba 0.0000 0.5000 0.0000
Ba 0.5000 0.0000 0.0000
Ba 0.5000 0.5000 0.5000
Nb 0.0000 0.5000 0.5000
Nb 0.5000 0.0000 0.5000
Nb 0.5000 0.5000 0.0000
Cr 0.0000 0.0000 0.0000
O 0.0000 0.2513 0.2513
O 0.0000 0.7487 0.7487
O 0.2500 0.5000 0.7500
O 0.2500 0.7500 0.5000
O 0.2513 0.0000 0.2513
O 0.2513 0.2513 0.0000
O 0.5000 0.2500 0.7500
O 0.5000 0.7500 0.2500
O 0.7487 0.0000 0.7487
O 0.7487 0.7487 0.0000
O 0.7500 0.2500 0.5000
O 0.7500 0.5000 0.2500